This entry pairs a crystal structure of Li4MnV2WO12 with its simulated powder X-ray diffraction pattern. Radiation: a wavelength of 1.5418 Å. Structure: a GGA+U-relaxed structure.
Intensities are scaled so that the largest is 100.

Crystal structure
Unit cell a=5.0595 b=5.3475 c=7.3662 alpha=94.44 beta=90.02 gamma=90.11
Element x y z (fractional)
1 Li 0.0000 0.0000 0.0000
2 Li 0.9996 0.0224 0.5339
3 Li 0.5060 0.5185 0.5372
4 Li 0.5138 0.5315 0.9879
5 Mn 0.0040 0.5825 0.7330
6 V 0.0046 0.5661 0.2304
7 V 0.5044 0.0827 0.7372
8 W 0.5080 0.0793 0.2320
9 O 0.1156 0.6082 0.4568
10 O 0.1912 0.2949 0.1557
11 O 0.2036 0.9197 0.7720
12 O 0.3169 0.4166 0.7676
13 O 0.3184 0.7936 0.1541
14 O 0.3810 0.1113 0.4680
15 O 0.6202 0.1202 0.9722
16 O 0.6909 0.4232 0.2750
17 O 0.6990 0.8177 0.6630
18 O 0.7961 0.3080 0.6594
19 O 0.8257 0.9238 0.2770
20 O 0.8937 0.6232 0.9756

Top 10 peaks for 2θ = 10–80°, in order of rising 2θ:
2θ = 12.05°, I 18
2θ = 21.33°, I 18
2θ = 24.25°, I 100
2θ = 33.60°, I 35
2θ = 35.49°, I 21
2θ = 40.97°, I 16
2θ = 49.64°, I 13
2θ = 54.71°, I 21
2θ = 62.51°, I 11
2θ = 63.73°, I 11